# La4CoPb2
Simulated powder diffractogram, a wavelength of 1.5418 Å. Input: a PBE-relaxed structure.

```
7
Lattice="2.641 -8.257 0.000 2.641 8.257 0.000 0.000 0.000 4.929" Properties=species:S:1:pos:R:3 pbc="T T T"
La 0.000 0.000 0.000
La 2.641 5.293 2.465
La 2.641 0.000 2.465
La 2.641 -5.293 2.465
Co 0.000 0.000 2.465
Pb 2.641 2.523 0.000
Pb 2.641 -2.523 0.000
```

Top 8 peaks for 2θ = 5–70°, low angle first:
| 2θ (°) | Rel. int. |
| --- | --- |
| 29.63 | 100 |
| 32.53 | 22 |
| 33.95 | 24 |
| 36.46 | 20 |
| 47.73 | 17 |
| 50.66 | 16 |
| 58.11 | 15 |
| 61.48 | 27 |